The following is a computed powder diffractogram of KLaWSe4. It was derived from a GGA-PBE-relaxed structure, using Cu Ka.
Peak positions follow from Bragg's law for the DFT cell and can differ from measured ones.

a = 7.1047 Å, b = 7.0311 Å, c = 9.1602 Å
α = 90.00°, β = 108.21°, γ = 90.00°
Space group P2_1 (No. 4)
Asymmetric unit:
K  0.2446  0.0000  0.4400 [2 per cell]
La  0.2725  0.9850  0.9527 [2 per cell]
W  0.2595  0.5030  0.1728 [2 per cell]
Se  0.0593  0.5950  0.9143 [2 per cell]
Se  0.0774  0.5299  0.3517 [2 per cell]
Se  0.4810  0.2470  0.7743 [2 per cell]
Se  0.4998  0.2440  0.2206 [2 per cell]

The 10 most intense peaks (10 to 90 degrees two-theta), low angle first:
Position (°2θ), intensity
10.2, 100.0
16.2, 65.4
25.3, 25.4
28.2, 16.1
28.6, 22.0
30.5, 46.6
30.8, 47.2
36.9, 39.2
39.3, 27.1
40.7, 21.9

=====

The following is a computed powder diffractogram of Na6ZnO4. It was derived from a GGA-PBE-relaxed structure, using Cu Ka.
Peak positions follow from Bragg's law for the DFT cell and can differ from measured ones.

a = 7.3974 Å, b = 7.3974 Å, c = 5.4231 Å
α = 90.00°, β = 90.00°, γ = 90.00°
Space group P4_2/nmc (No. 137, origin choice 2)
Asymmetric unit:
Na  0.0372  0.5372  0.2500 [8 per cell]
Na  0.2500  0.2500  0.1634 [4 per cell]
Zn  0.2500  0.7500  0.7500 [2 per cell]
O  0.0043  0.7500  0.5666 [8 per cell]

The 10 most intense peaks (10 to 90 degrees two-theta), low angle first:
Position (°2θ), intensity
20.3, 93.7
29.2, 37.9
31.7, 93.2
33.0, 36.7
34.3, 53.2
40.2, 84.1
43.1, 28.4
48.4, 100.0
49.3, 59.1
58.2, 34.2